1.
Diffraction record for LaHgC3. The powder XRD pattern is theoretical, not measured: it uses a structure optimized by DFT (PBE) and Cu Kα (weighted mean of Kα1 and Kα2).
Lines closer than 0.1° are merged.

Atomic structure:
Cell: 4.3434 4.3434 4.3434 Å, 90.00 90.00 90.00°
Space group Pm-3m (No. 221)
Inequivalent atoms, fractional coordinates:
1 La 0.0000 0.0000 0.0000
2 Hg 0.5000 0.5000 0.5000
3 C 0.0000 0.5000 0.5000

Peak list (6 most intense, 10 to 90 degrees two-theta, by angle)
h k l, 2theta, Rel. int.
1 1 0, 29.07, 100
2 0 0, 41.58, 24
2 1 1, 51.54, 42
2 2 0, 60.27, 16
3 1 0, 68.29, 18
3 2 1, 83.23, 22

2.
Diffraction record for La6Hg2C. The powder XRD pattern is theoretical, not measured: it uses a structure optimized by DFT (PBE) and Cu Kα (weighted mean of Kα1 and Kα2).
Lines closer than 0.1° are merged.

Atomic structure:
Cell: 6.9642 7.5636 12.7938 Å, 90.00 122.87 90.00°
Space group P2_1/c (No. 14)
Inequivalent atoms, fractional coordinates:
1 La 0.1413 0.0173 0.2347
2 La 0.2240 0.7087 0.0365
3 La 0.3428 0.1867 0.0402
4 Hg 0.2972 0.0732 0.7459
5 C 0.0000 0.0000 0.0000

Peak list (6 most intense, 10 to 90 degrees two-theta, by angle)
h k l, 2theta, Rel. int.
0 2 2, 28.87, 100
2 1 -3, 29.44, 61
2 0 -4, 30.60, 68
1 2 -3, 31.66, 34
0 0 4, 33.35, 43
2 2 -2, 35.03, 31

3.
Diffraction record for LaMg2HgC. The powder XRD pattern is theoretical, not measured: it uses a structure optimized by DFT (PBE) and Cu Kα (weighted mean of Kα1 and Kα2).
Lines closer than 0.1° are merged.

Atomic structure:
Cell: 4.5661 4.5661 5.2193 Å, 90.00 90.00 90.00°
Space group P4/mmm (No. 123)
Inequivalent atoms, fractional coordinates:
1 La 0.0000 0.0000 0.0000
2 Mg 0.0000 0.5000 0.5000
3 Hg 0.5000 0.5000 0.0000
4 C 0.0000 0.0000 0.5000

Peak list (6 most intense, 10 to 90 degrees two-theta, by angle)
h k l, 2theta, Rel. int.
0 0 1, 16.99, 61
1 1 0, 27.63, 47
1 1 1, 32.61, 100
2 0 0, 39.47, 33
1 1 2, 44.65, 26
2 0 2, 53.31, 28

4.
Diffraction record for La2NdHgC. The powder XRD pattern is theoretical, not measured: it uses a structure optimized by DFT (PBE) and Cu Kα (weighted mean of Kα1 and Kα2).
Lines closer than 0.1° are merged.

Atomic structure:
Cell: 7.2465 7.2465 10.5184 Å, 90.00 90.00 90.00°
Space group I4cm (No. 108)
Inequivalent atoms, fractional coordinates:
1 La 0.1999 0.3001 0.0000
2 Nd 0.0000 0.0000 0.2471
3 Hg 0.0000 0.5000 0.2499
4 C 0.0000 0.0000 0.0135

Peak list (6 most intense, 10 to 90 degrees two-theta, by angle)
h k l, 2theta, Rel. int.
2 1 1, 28.83, 17
2 0 2, 29.95, 100
0 0 4, 34.10, 23
2 2 0, 35.02, 31
2 2 4, 49.68, 23
2 0 6, 58.49, 15